This entry pairs a crystal structure of MgPa4O10 with its calculated X-ray diffraction stick pattern. Radiation: Cu Kα (weighted mean of Kα1 and Kα2). Structure: a structure optimized by DFT (GGA-PBE).
Kinematic intensities with the Lorentz-polarization factor, no thermal factor.

Cell: 6.6004 6.6004 6.6004 Å, 99.57 99.57 131.87°
Fractional positions:
Mg 0.0000 0.0000 0.0000
Pa 0.2042 0.6021 0.8064
Pa 0.3979 0.2042 0.6021
Pa 0.6021 0.7958 0.3979
Pa 0.7958 0.3979 0.1936
O 0.0501 0.1517 0.6978
O 0.1517 0.4540 0.1016
O 0.2500 0.7500 0.5000
O 0.3524 0.0501 0.8984
O 0.4540 0.3524 0.3022
O 0.5460 0.6476 0.6978
O 0.6476 0.9499 0.1016
O 0.7500 0.2500 0.5000
O 0.8483 0.5460 0.8984
O 0.9499 0.8483 0.3022

Most intense lines, 10° ≤ 2θ ≤ 90°, in order of rising 2θ:
Position (°2θ), I (rel.)
14.7, 8.4
19.5, 12.1
28.7, 100.0
33.3, 34.9
47.7, 51.0
56.7, 45.6
59.4, 9.8
77.2, 19.1
79.6, 14.0
89.0, 16.7